For Ga2Cu7Si2Au, a GGA-PBE-relaxed structure gives the computed X-ray powder pattern in this record (Cu Kα, 1.54184 Å).

Structural model:
```
Ga2Cu7Si2Au
1.0
2.664 -2.781 0.000
2.664 2.781 0.000
-0.033 0.000 11.294
Ga Cu Si Au
2 7 2 1
direct
0.001 0.001 0.178
0.999 0.999 0.822
0.000 0.000 0.500
0.001 0.501 0.331
0.265 0.265 0.000
0.499 0.999 0.669
0.501 0.001 0.331
0.735 0.735 0.000
0.999 0.499 0.669
0.500 0.500 0.188
0.500 0.500 0.812
0.500 0.500 0.500
```

Principal peaks in the range 10 to 90 degrees two-theta, by intensity:
two_theta, d_spacing, Rel. int.
40.32, 2.237, 100
41.47, 2.178, 98
41.58, 2.172, 97
47.97, 1.897, 68
35.99, 2.495, 67
47.24, 1.924, 65

For Ho3ErP4, a GGA-PBE-relaxed structure gives the computed X-ray powder pattern in this record (Cu Kα, 1.54184 Å).

Structural model:
```
Ho3ErP4
1.0
7.964 0.000 0.000
0.000 11.262 0.000
0.000 0.000 3.983
Ho Er P
6 2 8
direct
0.000 0.000 0.000
0.250 0.250 0.500
0.250 0.750 0.500
0.500 0.500 0.000
0.750 0.250 0.500
0.750 0.750 0.500
0.000 0.500 0.000
0.500 0.000 0.000
0.000 0.250 0.000
0.000 0.750 0.000
0.249 0.500 0.500
0.251 0.000 0.500
0.500 0.250 0.000
0.500 0.750 0.000
0.749 0.000 0.500
0.751 0.500 0.500
```

Principal peaks in the range 10 to 90 degrees two-theta, by intensity:
two_theta, d_spacing, Rel. int.
31.78, 2.816, 100
27.43, 3.251, 89
45.56, 1.991, 73
54.00, 1.698, 43
75.50, 1.259, 33
56.61, 1.626, 25